Entry 1:
This entry pairs a crystal structure of NaSrRu2O7 with its simulated XRD peak list. Radiation: Cu Kα, 1.54184 Å. Structure: the GGA-PBE geometry in Alexandria.
No peak broadening, texture or thermal motion is included.

Principal peaks in the range 10° ≤ 2θ ≤ 90°, low angle first:
d (Å)  I_rel
3.803  45
3.379  82
2.834  100
2.735  48
2.645  25
2.082  22
1.934  48
1.657  30
1.597  38
1.417  23

Crystal structure
```
NaSrRu2O7
1.0
-1.9340 1.9340 10.4104
1.9340 -1.9340 10.4104
1.9340 1.9340 -10.4104
Na Sr Ru O
1 1 2 7
Cartesian
0.0000 0.0000 0.0000
1.9340 0.0000 5.2052
0.0000 1.9340 3.0773
0.0000 1.9340 7.3331
0.0000 0.0000 3.2815
0.0000 0.0000 7.1018
0.0000 1.9340 1.2687
0.0000 0.0000 13.7189
0.0000 1.9340 5.2052
0.0000 0.0000 17.5392
0.0000 1.9340 9.1417
```

Entry 2:
This entry pairs a crystal structure of Na2TiRuO6 with its simulated XRD peak list. Radiation: Cu Kα, 1.54184 Å. Structure: the GGA-PBE geometry in Alexandria.
No peak broadening, texture or thermal motion is included.

Principal peaks in the range 10° ≤ 2θ ≤ 90°, low angle first:
d (Å)  I_rel
5.474  21
3.871  58
3.852  29
2.733  100
1.935  36
1.926  18
1.730  20
1.579  25
1.575  12
1.365  19

Crystal structure
```
Na2TiRuO6
1.0
5.4738 0.0000 0.0000
0.0000 5.4738 0.0000
0.0000 0.0000 3.8521
Na Ti Ru O
2 1 1 6
Cartesian
0.0000 2.7369 0.0000
2.7369 0.0000 0.0000
0.0000 0.0000 1.9261
2.7369 2.7369 1.9261
0.0000 0.0000 0.0000
1.3853 1.3853 1.9261
1.3853 4.0885 1.9261
2.7369 2.7369 0.0000
4.0885 1.3853 1.9261
4.0885 4.0885 1.9261
```

Entry 3:
This entry pairs a crystal structure of NaTl2RuO6 with its simulated XRD peak list. Radiation: Cu Kα, 1.54184 Å. Structure: the GGA-PBE geometry in Alexandria.
No peak broadening, texture or thermal motion is included.

Principal peaks in the range 10° ≤ 2θ ≤ 90°, low angle first:
d (Å)  I_rel
6.065  100
4.035  29
3.120  63
2.775  71
2.645  21
2.175  35
1.802  13
1.727  18
1.695  19
1.511  13

Crystal structure
```
NaTl2RuO6
1.0
6.2407 0.0000 0.0000
-3.1203 5.4046 0.0000
0.0000 0.0000 6.0651
Na Tl Ru O
1 2 1 6
Cartesian
0.0000 0.0000 0.0000
0.0000 3.6031 3.3995
3.1203 1.8015 2.6656
0.0000 0.0000 3.0325
0.0000 1.5426 4.1663
-1.7844 4.6333 4.1663
1.3359 0.7713 1.8987
1.7844 4.6333 4.1663
4.9048 0.7713 1.8987
3.1203 3.8620 1.8987
```

Entry 4:
This entry pairs a crystal structure of Na2URuO6 with its simulated XRD peak list. Radiation: Cu Kα, 1.54184 Å. Structure: the GGA-PBE geometry in Alexandria.
No peak broadening, texture or thermal motion is included.

Principal peaks in the range 10° ≤ 2θ ≤ 90°, low angle first:
d (Å)  I_rel
5.750  20
4.089  34
4.066  67
2.881  100
2.033  23
1.827  15
1.819  29
1.666  14
1.662  27
1.442  14

Crystal structure
```
Na2URuO6
1.0
5.7502 0.0000 0.0000
0.0000 5.7502 0.0000
0.0000 0.0000 4.0895
Na U Ru O
2 1 1 6
Cartesian
0.0000 2.8751 0.0000
2.8751 0.0000 0.0000
0.0000 0.0000 2.0632
2.8751 2.8751 2.0655
0.0000 0.0000 0.0191
1.4567 1.4567 2.0676
1.4567 4.2935 2.0676
2.8751 2.8751 0.0214
4.2935 1.4567 2.0676
4.2935 4.2935 2.0676
```